The following is a simulated powder XRD pattern of DyTmSbI2. It was derived from DFT lattice parameters and positions (GGA-PBE), using copper Kα.

Atomic structure:
Lattice parameters (Å, degrees): 4.3080 4.3080 11.1149 90.00 90.00 120.00
Space group P3m1 (No. 156)
One atom of each set of equivalent atoms:
Dy: 0.0000 0.0000 0.0000 x1
Tm: 0.3333 0.6667 0.3007 x1
Sb: 0.6667 0.3333 0.1532 x1
I: 0.0000 0.0000 0.4730 x1
I: 0.3333 0.6667 0.8243 x1

Top 10 peaks for 5° ≤ 2θ ≤ 70°, in order of falling intensity:
| 2θ/deg | Rel. int. | (hkl) |
| --- | --- | --- |
| 28.82 | 100 | 1 0 2 |
| 7.95 | 47 | 0 0 1 |
| 40.48 | 35 | 0 1 4 |
| 41.94 | 34 | 1 1 0 |
| 51.69 | 20 | 0 2 2 |
| 68.67 | 17 | 2 1 2 |
| 66.58 | 14 | 1 1 6 |
| 59.70 | 11 | 2 0 4 |
| 34.10 | 10 | 1 0 3 |
| 23.85 | 9 | 1 0 0 |